1.
Structure and calculated X-ray powder pattern of CaEu6 (a structure optimized by DFT (GGA-PBE); λ = 1.5418 Å (Cu Kα)).
Intensities are scaled so that the largest is 100.

Top 10 peaks for 2θ from 15° to 90°, in order of falling intensity:
d = 3.722 Å, I 100; d = 2.632 Å, I 85; d = 2.437 Å, I 65; d = 2.279 Å, I 51; d = 4.559 Å, I 41; d = 1.612 Å, I 34; d = 1.374 Å, I 34; d = 2.883 Å, I 30; d = 1.788 Å, I 22; d = 1.479 Å, I 20

Structural model:
abc: 9.1172 9.1172 9.1172
angles: 90.00 90.00 90.00
Element x y z (fractional)
Ca  0.0000  0.0000  0.0000
Ca  0.5000  0.5000  0.5000
Eu  0.0000  0.2500  0.5000
Eu  0.0000  0.5000  0.2500
Eu  0.0000  0.5000  0.7500
Eu  0.0000  0.7500  0.5000
Eu  0.2500  0.0000  0.5000
Eu  0.2500  0.5000  0.0000
Eu  0.5000  0.0000  0.2500
Eu  0.5000  0.0000  0.7500
Eu  0.5000  0.2500  0.0000
Eu  0.5000  0.7500  0.0000
Eu  0.7500  0.0000  0.5000
Eu  0.7500  0.5000  0.0000



2.
Structure and calculated X-ray powder pattern of PmTh4Te8 (a structure optimized by DFT (GGA-PBE); λ = 1.5418 Å (Cu Kα)).
Intensities are scaled so that the largest is 100.

Top 10 peaks for 2θ from 15° to 90°, in order of falling intensity:
d = 3.181 Å, I 100; d = 2.249 Å, I 97; d = 3.836 Å, I 61; d = 2.449 Å, I 44; d = 2.597 Å, I 30; d = 1.500 Å, I 23; d = 1.299 Å, I 22; d = 1.837 Å, I 22; d = 1.423 Å, I 22; d = 2.919 Å, I 22

Structural model:
abc: 8.9971 8.9971 8.9971
angles: 60.00 60.00 60.00
Element x y z (fractional)
Pm  0.0000  0.0000  0.0000
Th  0.1711  0.6096  0.6096
Th  0.6096  0.1711  0.6096
Th  0.6096  0.6096  0.1711
Th  0.6096  0.6096  0.6096
Te  0.3653  0.3653  0.3653
Te  0.3653  0.3653  0.9040
Te  0.3653  0.9040  0.3653
Te  0.4100  0.8633  0.8633
Te  0.8633  0.4100  0.8633
Te  0.8633  0.8633  0.4100
Te  0.8633  0.8633  0.8633
Te  0.9040  0.3653  0.3653



3.
Structure and calculated X-ray powder pattern of AcPrNi2P2 (a structure optimized by DFT (GGA-PBE); λ = 1.5418 Å (Cu Kα)).
Intensities are scaled so that the largest is 100.

Top 10 peaks for 2θ from 15° to 90°, in order of falling intensity:
d = 2.686 Å, I 100; d = 3.496 Å, I 33; d = 2.018 Å, I 32; d = 1.455 Å, I 21; d = 1.614 Å, I 21; d = 1.260 Å, I 19; d = 2.099 Å, I 12; d = 1.800 Å, I 11; d = 1.299 Å, I 10; d = 3.227 Å, I 8

Structural model:
abc: 4.0366 4.0366 8.3972
angles: 90.00 90.00 120.00
Element x y z (fractional)
Ac  0.0000  0.0000  0.0000
Pr  0.0000  0.0000  0.5000
Ni  0.3333  0.6667  0.7440
Ni  0.6667  0.3333  0.2560
P  0.3333  0.6667  0.2636
P  0.6667  0.3333  0.7364



4.
Structure and calculated X-ray powder pattern of Li2MgNbO4 (a structure optimized by DFT (GGA-PBE); λ = 1.5418 Å (Cu Kα)).
Intensities are scaled so that the largest is 100.

Top 10 peaks for 2θ from 15° to 90°, in order of falling intensity:
d = 3.791 Å, I 100; d = 2.092 Å, I 38; d = 1.831 Å, I 24; d = 1.530 Å, I 23; d = 2.243 Å, I 22; d = 2.433 Å, I 20; d = 4.486 Å, I 20; d = 2.469 Å, I 15; d = 2.958 Å, I 13; d = 1.649 Å, I 11

Structural model:
abc: 4.1831 4.1831 8.9725
angles: 90.00 90.00 90.00
Element x y z (fractional)
Li  0.0000  0.0000  0.0000
Li  0.0000  0.5000  0.2500
Li  0.5000  0.0000  0.7500
Li  0.5000  0.5000  0.5000
Mg  0.0000  0.0000  0.5000
Mg  0.5000  0.5000  0.0000
Nb  0.0000  0.5000  0.7500
Nb  0.5000  0.0000  0.2500
O  0.0000  0.0000  0.2589
O  0.0000  0.0000  0.7411
O  0.0000  0.5000  0.5205
O  0.0000  0.5000  0.9795
O  0.5000  0.0000  0.0205
O  0.5000  0.0000  0.4795
O  0.5000  0.5000  0.2411
O  0.5000  0.5000  0.7589



5.
Structure and calculated X-ray powder pattern of Hf4Zn3Cd (a structure optimized by DFT (GGA-PBE); λ = 1.5418 Å (Cu Kα)).
Intensities are scaled so that the largest is 100.

Top 10 peaks for 2θ from 15° to 90°, in order of falling intensity:
d = 2.368 Å, I 100; d = 2.382 Å, I 21; d = 1.367 Å, I 20; d = 1.373 Å, I 14; d = 1.680 Å, I 14; d = 3.360 Å, I 13; d = 1.184 Å, I 11; d = 1.669 Å, I 7; d = 1.364 Å, I 7; d = 3.337 Å, I 7

Structural model:
abc: 3.3371 4.7643 9.4770
angles: 90.00 90.00 90.00
Element x y z (fractional)
Hf  0.0000  0.0000  0.0000
Hf  0.0000  0.0000  0.5000
Hf  0.0000  0.5000  0.2389
Hf  0.0000  0.5000  0.7611
Zn  0.5000  0.0000  0.2511
Zn  0.5000  0.0000  0.7489
Zn  0.5000  0.5000  0.0000
Cd  0.5000  0.5000  0.5000



6.
Structure and calculated X-ray powder pattern of LiSmGaAg (a structure optimized by DFT (GGA-PBE); λ = 1.5418 Å (Cu Kα)).
Intensities are scaled so that the largest is 100.

Top 10 peaks for 2θ from 15° to 90°, in order of falling intensity:
d = 2.463 Å, I 100; d = 4.022 Å, I 46; d = 1.422 Å, I 35; d = 2.100 Å, I 24; d = 1.742 Å, I 17; d = 1.101 Å, I 15; d = 1.232 Å, I 11; d = 1.598 Å, I 10; d = 1.341 Å, I 8; d = 1.178 Å, I 8

Structural model:
abc: 6.9664 6.9664 6.9664
angles: 90.00 90.00 90.00
Element x y z (fractional)
Li  0.0000  0.0000  0.0000
Li  0.0000  0.5000  0.5000
Li  0.5000  0.0000  0.5000
Li  0.5000  0.5000  0.0000
Sm  0.0000  0.0000  0.5000
Sm  0.0000  0.5000  0.0000
Sm  0.5000  0.0000  0.0000
Sm  0.5000  0.5000  0.5000
Ga  0.2500  0.2500  0.7500
Ga  0.2500  0.7500  0.2500
Ga  0.7500  0.2500  0.2500
Ga  0.7500  0.7500  0.7500
Ag  0.2500  0.2500  0.2500
Ag  0.2500  0.7500  0.7500
Ag  0.7500  0.2500  0.7500
Ag  0.7500  0.7500  0.2500